# 1
Theoretical X-ray powder pattern of LiDyTh2N4 for Cu Kα, from a DFT-relaxed cell (GGA-PBE, Alexandria).
No peak broadening, texture or thermal motion is included.

```
data_LiDyTh2N4
_symmetry_space_group_name_H-M 'C m c m'
_symmetry_Int_Tables_number 63
_symmetry_space_group_name_Hall '-C 2c 2'
_cell_length_a 3.6009
_cell_length_b 11.6655
_cell_length_c 11.8249
_cell_angle_alpha 90.00
_cell_angle_beta 90.00
_cell_angle_gamma 90.00
loop_
_atom_site_label
_atom_site_type_symbol
_atom_site_fract_x
_atom_site_fract_y
_atom_site_fract_z
_atom_site_occupancy
Li1 Li 0.0000 0.1625 0.2500 1
Dy1 Dy 0.0000 0.1008 0.7500 1
Th1 Th 0.0000 0.3687 0.5613 1
N1 N 0.0000 0.0000 0.0000 1
N2 N 0.0000 0.2622 0.1164 1
N3 N 0.0000 0.4635 0.7500 1
```

The 12 most intense peaks (2θ = 15–90°), by angle:
d 3.304, 2θ = 26.99°, intensity 27
d 3.266, 2θ = 27.31°, intensity 100
d 2.974, 2θ = 30.05°, intensity 55
d 2.916, 2θ = 30.66°, intensity 35
d 2.642, 2θ = 33.94°, intensity 20
d 2.578, 2θ = 34.79°, intensity 29
d 2.412, 2θ = 37.28°, intensity 33
d 1.949, 2θ = 46.60°, intensity 28
d 1.859, 2θ = 49.01°, intensity 17
d 1.762, 2θ = 51.89°, intensity 20
d 1.754, 2θ = 52.16°, intensity 16
d 1.577, 2θ = 58.54°, intensity 25


# 2
Theoretical X-ray powder pattern of NaTa2Te4 for Cu Kα, from a DFT-relaxed cell (GGA-PBE, Alexandria).
No peak broadening, texture or thermal motion is included.

```
data_NaTa2Te4
_symmetry_space_group_name_H-M 'P 1 2/m 1'
_symmetry_Int_Tables_number 10
_symmetry_space_group_name_Hall '-P 2y'
_cell_length_a 6.3987
_cell_length_b 3.7208
_cell_length_c 8.8448
_cell_angle_alpha 90.00
_cell_angle_beta 104.15
_cell_angle_gamma 90.00
loop_
_atom_site_label
_atom_site_type_symbol
_atom_site_fract_x
_atom_site_fract_y
_atom_site_fract_z
_atom_site_occupancy
Na1 Na 0.0000 0.0000 0.0000 1
Ta1 Ta 0.0000 0.5000 0.5000 1
Ta2 Ta 0.5000 0.0000 0.5000 1
Te1 Te 0.2384 0.0000 0.7133 1
Te2 Te 0.2621 0.5000 0.2870 1
```

The 12 most intense peaks (2θ = 15–90°), by angle:
d 3.191, 2θ = 27.96°, intensity 16
d 2.875, 2θ = 31.11°, intensity 100
d 2.869, 2θ = 31.18°, intensity 50
d 2.418, 2θ = 37.18°, intensity 44
d 2.276, 2θ = 39.59°, intensity 44
d 2.264, 2θ = 39.81°, intensity 22
d 1.893, 2θ = 48.06°, intensity 20
d 1.860, 2θ = 48.96°, intensity 15
d 1.850, 2θ = 49.24°, intensity 29
d 1.809, 2θ = 50.45°, intensity 14
d 1.561, 2θ = 59.19°, intensity 16
d 1.438, 2θ = 64.86°, intensity 18


# 3
Theoretical X-ray powder pattern of Nd5Y2Sc for Cu Kα, from a DFT-relaxed cell (GGA-PBE, Alexandria).
No peak broadening, texture or thermal motion is included.

```
data_Nd5Y2Sc
_symmetry_space_group_name_H-M 'C m m m'
_symmetry_Int_Tables_number 65
_symmetry_space_group_name_Hall '-C 2 2'
_cell_length_a 10.0648
_cell_length_b 14.4966
_cell_length_c 3.6187
_cell_angle_alpha 90.00
_cell_angle_beta 90.00
_cell_angle_gamma 90.00
loop_
_atom_site_label
_atom_site_type_symbol
_atom_site_fract_x
_atom_site_fract_y
_atom_site_fract_z
_atom_site_occupancy
Nd1 Nd 0.0000 0.0000 0.0000 1
Nd2 Nd 0.2419 0.3777 0.5000 1
Y1 Y 0.0000 0.2492 0.0000 1
Sc1 Sc 0.0000 0.5000 0.0000 1
```

The 12 most intense peaks (2θ = 15–90°), by angle:
d 5.032, 2θ = 17.62°, intensity 4
d 2.939, 2θ = 30.41°, intensity 100
d 2.561, 2θ = 35.04°, intensity 34
d 2.516, 2θ = 35.68°, intensity 16
d 1.811, 2θ = 50.40°, intensity 12
d 1.795, 2θ = 50.88°, intensity 23
d 1.542, 2θ = 60.01°, intensity 28
d 1.522, 2θ = 60.86°, intensity 13
d 1.470, 2θ = 63.27°, intensity 12
d 1.165, 2θ = 82.85°, intensity 11
d 1.141, 2θ = 85.00°, intensity 5
d 1.129, 2θ = 86.11°, intensity 5


# 4
Theoretical X-ray powder pattern of BaTl2GaBi2 for Cu Kα, from a DFT-relaxed cell (GGA-PBE, Alexandria).
No peak broadening, texture or thermal motion is included.

```
data_BaTl2GaBi2
_symmetry_space_group_name_H-M 'P m c 21'
_symmetry_Int_Tables_number 26
_symmetry_space_group_name_Hall 'P 2c -2'
_cell_length_a 4.9341
_cell_length_b 9.9201
_cell_length_c 8.5143
_cell_angle_alpha 90.00
_cell_angle_beta 90.00
_cell_angle_gamma 90.00
loop_
_atom_site_label
_atom_site_type_symbol
_atom_site_fract_x
_atom_site_fract_y
_atom_site_fract_z
_atom_site_occupancy
Ba1 Ba 0.0000 0.0751 0.0000 1
Tl1 Tl 0.0000 0.3439 0.3305 1
Tl2 Tl 0.5000 0.4378 0.0330 1
Ga1 Ga 0.5000 0.1684 0.6557 1
Bi1 Bi 0.0000 0.3330 0.7073 1
Bi2 Bi 0.5000 0.1189 0.2959 1
```

The 12 most intense peaks (2θ = 15–90°), by angle:
d 3.235, 2θ = 27.58°, intensity 95
d 3.082, 2θ = 28.97°, intensity 16
d 3.066, 2θ = 29.13°, intensity 100
d 2.747, 2θ = 32.60°, intensity 52
d 2.729, 2θ = 32.82°, intensity 36
d 2.466, 2θ = 36.43°, intensity 51
d 2.308, 2θ = 39.03°, intensity 15
d 2.204, 2θ = 40.95°, intensity 13
d 1.830, 2θ = 49.83°, intensity 22
d 1.747, 2θ = 52.37°, intensity 31
d 1.531, 2θ = 60.46°, intensity 21
d 1.516, 2θ = 61.12°, intensity 13


# 5
Theoretical X-ray powder pattern of Dy2ZnCu7 for Cu Kα, from a DFT-relaxed cell (GGA-PBE, Alexandria).
No peak broadening, texture or thermal motion is included.

```
data_Dy2ZnCu7
_symmetry_space_group_name_H-M 'P -4 m 2'
_symmetry_Int_Tables_number 115
_symmetry_space_group_name_Hall 'P -4 -2'
_cell_length_a 3.9584
_cell_length_b 3.9584
_cell_length_c 10.4162
_cell_angle_alpha 90.00
_cell_angle_beta 90.00
_cell_angle_gamma 90.00
loop_
_atom_site_label
_atom_site_type_symbol
_atom_site_fract_x
_atom_site_fract_y
_atom_site_fract_z
_atom_site_occupancy
Dy1 Dy 0.0000 0.5000 0.2469 1
Zn1 Zn 0.0000 0.0000 0.5000 1
Cu1 Cu 0.0000 0.0000 0.0000 1
Cu2 Cu 0.0000 0.5000 0.6391 1
Cu3 Cu 0.0000 0.5000 0.8648 1
Cu4 Cu 0.5000 0.5000 0.0000 1
Cu5 Cu 0.5000 0.5000 0.5000 1
```

The 12 most intense peaks (2θ = 15–90°), by angle:
d 3.700, 2θ = 24.05°, intensity 8
d 2.799, 2θ = 31.97°, intensity 17
d 2.610, 2θ = 34.37°, intensity 70
d 2.466, 2θ = 36.44°, intensity 100
d 1.979, 2θ = 45.85°, intensity 48
d 1.844, 2θ = 49.44°, intensity 33
d 1.577, 2θ = 58.54°, intensity 33
d 1.475, 2θ = 63.01°, intensity 11
d 1.400, 2θ = 66.85°, intensity 15
d 1.349, 2θ = 69.71°, intensity 23
d 1.233, 2θ = 77.39°, intensity 9
d 1.217, 2θ = 78.60°, intensity 20


# 6
Theoretical X-ray powder pattern of CrRe2Tc for Cu Kα, from a DFT-relaxed cell (GGA-PBE, Alexandria).
No peak broadening, texture or thermal motion is included.

```
data_CrRe2Tc
_symmetry_space_group_name_H-M 'I m m 2'
_symmetry_Int_Tables_number 44
_symmetry_space_group_name_Hall 'I 2 -2'
_cell_length_a 3.0103
_cell_length_b 4.3556
_cell_length_c 8.6525
_cell_angle_alpha 90.00
_cell_angle_beta 90.00
_cell_angle_gamma 90.00
loop_
_atom_site_label
_atom_site_type_symbol
_atom_site_fract_x
_atom_site_fract_y
_atom_site_fract_z
_atom_site_occupancy
Cr1 Cr 0.0000 0.0000 0.0000 1
Re1 Re 0.0000 0.0000 0.4891 1
Re2 Re 0.0000 0.5000 0.7258 1
Tc1 Tc 0.0000 0.5000 0.2594 1
```

The 12 most intense peaks (2θ = 15–90°), by angle:
d 3.891, 2θ = 22.86°, intensity 16
d 2.843, 2θ = 31.47°, intensity 13
d 2.405, 2θ = 37.40°, intensity 13
d 2.178, 2θ = 41.46°, intensity 27
d 2.163, 2θ = 41.76°, intensity 24
d 2.149, 2θ = 42.04°, intensity 100
d 1.535, 2θ = 60.31°, intensity 16
d 1.505, 2θ = 61.62°, intensity 10
d 1.252, 2θ = 76.03°, intensity 17
d 1.246, 2θ = 76.43°, intensity 14
d 1.238, 2θ = 77.01°, intensity 9
d 1.235, 2θ = 77.21°, intensity 13


# 7
Theoretical X-ray powder pattern of Ba5AgPd for Cu Kα, from a DFT-relaxed cell (GGA-PBE, Alexandria).
No peak broadening, texture or thermal motion is included.

```
data_Ba5AgPd
_symmetry_space_group_name_H-M 'P 1 21/m 1'
_symmetry_Int_Tables_number 11
_symmetry_space_group_name_Hall '-P 2yb'
_cell_length_a 9.3581
_cell_length_b 4.8041
_cell_length_c 14.8043
_cell_angle_alpha 90.00
_cell_angle_beta 92.64
_cell_angle_gamma 90.00
loop_
_atom_site_label
_atom_site_type_symbol
_atom_site_fract_x
_atom_site_fract_y
_atom_site_fract_z
_atom_site_occupancy
Ba1 Ba 0.0600 0.2500 0.1617 1
Ba2 Ba 0.1427 0.7500 0.5724 1
Ba3 Ba 0.3282 0.7500 0.0203 1
Ba4 Ba 0.3469 0.2500 0.7790 1
Ba5 Ba 0.3604 0.2500 0.3690 1
Ag1 Ag 0.0691 0.7500 0.3353 1
Pd1 Pd 0.4439 0.2500 0.1489 1
```

The 12 most intense peaks (2θ = 15–90°), by angle:
d 3.871, 2θ = 22.97°, intensity 29
d 3.734, 2θ = 23.83°, intensity 100
d 3.473, 2θ = 25.65°, intensity 54
d 3.441, 2θ = 25.90°, intensity 39
d 3.350, 2θ = 26.61°, intensity 42
d 3.244, 2θ = 27.49°, intensity 67
d 3.078, 2θ = 29.01°, intensity 26
d 3.014, 2θ = 29.64°, intensity 66
d 2.930, 2θ = 30.51°, intensity 31
d 2.767, 2θ = 32.35°, intensity 30
d 2.522, 2θ = 35.60°, intensity 38
d 2.402, 2θ = 37.44°, intensity 57


# 8
Theoretical X-ray powder pattern of KFe2PdI8 for Cu Kα, from a DFT-relaxed cell (GGA-PBE, Alexandria).
No peak broadening, texture or thermal motion is included.

```
data_KFe2PdI8
_symmetry_space_group_name_H-M 'C 1 2/m 1'
_symmetry_Int_Tables_number 12
_symmetry_space_group_name_Hall '-C 2y'
_cell_length_a 11.6884
_cell_length_b 8.1687
_cell_length_c 10.2690
_cell_angle_alpha 90.00
_cell_angle_beta 96.11
_cell_angle_gamma 90.00
loop_
_atom_site_label
_atom_site_type_symbol
_atom_site_fract_x
_atom_site_fract_y
_atom_site_fract_z
_atom_site_occupancy
K1 K 0.0000 0.0000 0.0000 1
Fe1 Fe 0.1222 0.5000 0.2818 1
Pd1 Pd 0.0000 0.0000 0.5000 1
I1 I 0.0110 0.2500 0.7033 1
I2 I 0.1979 0.5000 0.0586 1
I3 I 0.2355 0.0000 0.5096 1
```

The 12 most intense peaks (2θ = 15–90°), by angle:
d 5.756, 2θ = 15.40°, intensity 58
d 4.055, 2θ = 21.92°, intensity 36
d 3.648, 2θ = 24.40°, intensity 51
d 3.500, 2θ = 25.45°, intensity 22
d 3.342, 2θ = 26.68°, intensity 88
d 3.189, 2θ = 27.98°, intensity 100
d 2.906, 2θ = 30.77°, intensity 32
d 2.615, 2θ = 34.30°, intensity 20
d 2.224, 2θ = 40.57°, intensity 28
d 2.080, 2θ = 43.51°, intensity 53
d 2.042, 2θ = 44.36°, intensity 45
d 2.028, 2θ = 44.69°, intensity 35


# 9
Theoretical X-ray powder pattern of BaCd8Au2 for Cu Kα, from a DFT-relaxed cell (GGA-PBE, Alexandria).
No peak broadening, texture or thermal motion is included.

```
data_BaCd8Au2
_symmetry_space_group_name_H-M 'P 4/m m m'
_symmetry_Int_Tables_number 123
_symmetry_space_group_name_Hall '-P 4 2'
_cell_length_a 6.0438
_cell_length_b 6.0438
_cell_length_c 9.7704
_cell_angle_alpha 90.00
_cell_angle_beta 90.00
_cell_angle_gamma 90.00
loop_
_atom_site_label
_atom_site_type_symbol
_atom_site_fract_x
_atom_site_fract_y
_atom_site_fract_z
_atom_site_occupancy
Ba1 Ba 0.0000 0.0000 0.0000 1
Cd1 Cd 0.2517 0.2517 0.2995 1
Au1 Au 0.0000 0.5000 0.5000 1
```

The 12 most intense peaks (2θ = 15–90°), by angle:
d 3.915, 2θ = 22.71°, intensity 50
d 2.590, 2θ = 34.63°, intensity 18
d 2.570, 2θ = 34.91°, intensity 100
d 2.215, 2θ = 40.73°, intensity 40
d 2.137, 2θ = 42.30°, intensity 38
d 2.087, 2θ = 43.35°, intensity 10
d 1.954, 2θ = 46.46°, intensity 11
d 1.876, 2θ = 48.54°, intensity 14
d 1.511, 2θ = 61.36°, intensity 12
d 1.442, 2θ = 64.63°, intensity 14
d 1.303, 2θ = 72.58°, intensity 23
d 1.248, 2θ = 76.28°, intensity 12


# 10
Theoretical X-ray powder pattern of PrCo2Ir for Cu Kα, from a DFT-relaxed cell (GGA-PBE, Alexandria).
No peak broadening, texture or thermal motion is included.

```
data_PrCo2Ir
_symmetry_space_group_name_H-M 'P 1 21/m 1'
_symmetry_Int_Tables_number 11
_symmetry_space_group_name_Hall '-P 2yb'
_cell_length_a 4.1224
_cell_length_b 6.9396
_cell_length_c 5.6831
_cell_angle_alpha 90.00
_cell_angle_beta 111.20
_cell_angle_gamma 90.00
loop_
_atom_site_label
_atom_site_type_symbol
_atom_site_fract_x
_atom_site_fract_y
_atom_site_fract_z
_atom_site_occupancy
Pr1 Pr 0.0651 0.2500 0.1285 1
Co1 Co 0.3124 0.0653 0.6250 1
Ir1 Ir 0.2104 0.7500 0.4206 1
```

The 12 most intense peaks (2θ = 15–90°), by angle:
d 5.298, 2θ = 16.73°, intensity 63
d 3.842, 2θ = 23.15°, intensity 40
d 3.470, 2θ = 25.67°, intensity 56
d 2.575, 2θ = 34.84°, intensity 75
d 2.502, 2θ = 35.89°, intensity 100
d 2.475, 2θ = 36.30°, intensity 93
d 2.122, 2θ = 42.61°, intensity 28
d 2.061, 2θ = 43.93°, intensity 46
d 1.982, 2θ = 45.79°, intensity 44
d 1.752, 2θ = 52.22°, intensity 54
d 1.584, 2θ = 58.25°, intensity 47
d 1.315, 2θ = 71.78°, intensity 26


# 11
Theoretical X-ray powder pattern of UCo3H3 for Cu Kα, from a DFT-relaxed cell (GGA-PBE, Alexandria).
No peak broadening, texture or thermal motion is included.

```
data_UCo3H3
_symmetry_space_group_name_H-M 'P -1'
_symmetry_Int_Tables_number 2
_symmetry_space_group_name_Hall '-P 1'
_cell_length_a 4.8350
_cell_length_b 5.0498
_cell_length_c 6.3995
_cell_angle_alpha 99.61
_cell_angle_beta 108.13
_cell_angle_gamma 106.91
loop_
_atom_site_label
_atom_site_type_symbol
_atom_site_fract_x
_atom_site_fract_y
_atom_site_fract_z
_atom_site_occupancy
U1 U 0.0322 0.3119 0.2446 1
Co1 Co 0.1559 0.7921 0.2658 1
Co2 Co 0.2759 0.2241 0.5942 1
Co3 Co 0.3993 0.7802 0.6716 1
H1 H 0.1595 0.2167 0.9019 1
H2 H 0.4172 0.8788 0.1504 1
H3 H 0.4862 0.5490 0.7971 1
```

The 12 most intense peaks (2θ = 15–90°), by angle:
d 5.833, 2θ = 15.19°, intensity 22
d 4.272, 2θ = 20.79°, intensity 100
d 3.448, 2θ = 25.84°, intensity 30
d 3.212, 2θ = 27.77°, intensity 29
d 2.917, 2θ = 30.65°, intensity 60
d 2.353, 2θ = 38.25°, intensity 27
d 2.315, 2θ = 38.90°, intensity 62
d 2.162, 2θ = 41.79°, intensity 25
d 2.070, 2θ = 43.73°, intensity 24
d 1.955, 2θ = 46.45°, intensity 38
d 1.725, 2θ = 53.09°, intensity 23
d 1.662, 2θ = 55.29°, intensity 23


# 12
Theoretical X-ray powder pattern of CaSm2Hg6 for Cu Kα, from a DFT-relaxed cell (GGA-PBE, Alexandria).
No peak broadening, texture or thermal motion is included.

```
data_CaSm2Hg6
_symmetry_space_group_name_H-M 'P 6/m m m'
_symmetry_Int_Tables_number 191
_symmetry_space_group_name_Hall '-P 6 2'
_cell_length_a 8.6787
_cell_length_b 8.6787
_cell_length_c 3.4951
_cell_angle_alpha 90.00
_cell_angle_beta 90.00
_cell_angle_gamma 120.00
loop_
_atom_site_label
_atom_site_type_symbol
_atom_site_fract_x
_atom_site_fract_y
_atom_site_fract_z
_atom_site_occupancy
Ca1 Ca 0.0000 0.0000 0.0000 1
Sm1 Sm 0.3333 0.6667 0.0000 1
Hg1 Hg 0.0000 0.3325 0.5000 1
```

The 12 most intense peaks (2θ = 15–90°), by angle:
d 3.495, 2θ = 25.49°, intensity 24
d 2.722, 2θ = 32.90°, intensity 93
d 2.505, 2θ = 35.84°, intensity 100
d 2.036, 2θ = 44.49°, intensity 35
d 1.843, 2θ = 49.44°, intensity 30
d 1.748, 2θ = 52.35°, intensity 11
d 1.485, 2θ = 62.56°, intensity 30
d 1.446, 2θ = 64.41°, intensity 18
d 1.433, 2θ = 65.08°, intensity 36
d 1.253, 2θ = 75.97°, intensity 12
d 1.138, 2θ = 85.29°, intensity 13
d 1.114, 2θ = 87.55°, intensity 17